Calculated powder XRD pattern of Na3ZrAlSi2SO12 for λ = 1.5418 Å (Cu Kα), from the PBE geometry in the Materials Project.

Most intense lines, 10 to 80 degrees two-theta, in order of falling intensity:
- d = 4.490 Å, rel. 1000
- d = 2.834 Å, rel. 641
- d = 6.338 Å, rel. 600
- d = 2.862 Å, rel. 564
- d = 2.899 Å, rel. 549
- d = 2.591 Å, rel. 480
- d = 4.560 Å, rel. 438
- d = 3.838 Å, rel. 353
- d = 3.890 Å, rel. 285
- d = 2.603 Å, rel. 283

Structural model:
a b c (Å): 9.0047 9.0047 8.9667
angles (deg): 118.99 118.99 59.68
Sites, in units of the cell vectors:
Na 0.0628 0.9372 0.5000
Na 0.3059 0.8359 0.2447
Na 0.5570 0.7076 0.9918
Na 0.7076 0.5570 0.4918
Na 0.8359 0.3059 0.7447
Na 0.9372 0.0628 0.0000
Zr 0.1434 0.6598 0.7872
Zr 0.6598 0.1434 0.2872
Al 0.4492 0.9619 0.6712
Al 0.9619 0.4492 0.1712
Si 0.0639 0.2538 0.4653
Si 0.2538 0.0639 0.9653
Si 0.7516 0.8389 0.4719
Si 0.8389 0.7516 0.9719
S 0.3405 0.5573 0.4716
S 0.5573 0.3405 0.9716
O 0.0190 0.2935 0.2856
O 0.0284 0.7326 0.9667
O 0.0681 0.2362 0.9933
O 0.0879 0.4341 0.6389
O 0.1789 0.5249 0.3187
O 0.2362 0.0681 0.4933
O 0.2424 0.8815 0.9607
O 0.2935 0.0190 0.7856
O 0.3297 0.5861 0.6431
O 0.3531 0.7180 0.4762
O 0.4054 0.5133 0.9550
O 0.4341 0.0879 0.1389
O 0.5133 0.4054 0.4550
O 0.5249 0.1789 0.8187
O 0.5768 0.8610 0.5045
O 0.5861 0.3297 0.1431
O 0.6576 0.7950 0.7997
O 0.7180 0.3531 0.9762
O 0.7326 0.0284 0.4667
O 0.7950 0.6576 0.2997
O 0.8218 0.9338 0.1507
O 0.8610 0.5768 0.0045
O 0.8815 0.2424 0.4607
O 0.9338 0.8218 0.6507